Diffraction record for Li2BiPd4. The X-ray powder pattern is theoretical, not measured: it uses the GGA-PBE geometry in Alexandria and Cu Kα.
Neutral-atom scattering factors, no anomalous dispersion.

Structural model:
```
data_Li2BiPd4
_chemical_formula_sum 'Li6 Bi3 Pd12'
_cell_length_a 4.5059
_cell_length_b 4.5059
_cell_length_c 19.0446
_cell_angle_alpha 90.00
_cell_angle_beta 90.00
_cell_angle_gamma 120.00
_space_group_name_H-M_alt 'R -3 m'
_space_group_IT_number 166
_space_group_name_Hall '-R 3 2"'
loop_
_atom_site_label
_atom_site_type_symbol
_atom_site_fract_x
_atom_site_fract_y
_atom_site_fract_z
Li1 Li 0.0000 0.0000 0.2246
Bi1 Bi 0.0000 0.0000 0.5000
Pd1 Pd 0.0000 0.0000 0.0761
Pd2 Pd 0.0000 0.0000 0.3541
```

Largest 10 diffraction maxima, in order of falling intensity, 5 to 70 degrees two-theta:
2θ (°)  d/Å  Rel. int.  hkl
40.02  2.253  100.0  1 1 0
40.42  2.232  95.1  1 0 7
24.66  3.611  58.7  0 1 2
32.86  2.726  44.0  0 1 5
58.18  1.586  36.5  0 2 7
23.27  3.823  19.3  1 0 1
52.71  1.737  11.7  2 0 5
68.18  1.375  10.9  1 2 5
47.57  1.911  10.3  2 0 2
63.87  1.458  8.7  1 2 2


Diffraction record for RbGaAu2. The X-ray powder pattern is theoretical, not measured: it uses the GGA-PBE geometry in Alexandria and Cu Kα.
Neutral-atom scattering factors, no anomalous dispersion.

Structural model:
```
data_RbGaAu2
_chemical_formula_sum 'Rb4 Ga4 Au8'
_cell_length_a 5.2936
_cell_length_b 12.0349
_cell_length_c 6.8514
_cell_angle_alpha 90.00
_cell_angle_beta 90.02
_cell_angle_gamma 90.00
_space_group_name_H-M_alt 'P 1 21/c 1'
_space_group_IT_number 14
loop_
_space_group_symop_operation_xyz
'x,y,z'
'-x,-y,-z'
'-x,y+1/2,-z+1/2'
'x,-y+1/2,z+1/2'
loop_
_atom_site_label
_atom_site_type_symbol
_atom_site_fract_x
_atom_site_fract_y
_atom_site_fract_z
Rb1 Rb 0.1931 0.1188 0.0022
Ga1 Ga 0.1448 0.6099 0.9988
Au1 Au 0.3326 0.7504 0.2482
Au2 Au 0.3424 0.0974 0.5022
```

Largest 10 diffraction maxima, in order of falling intensity, 5 to 70 degrees two-theta:
2θ (°)  d/Å  Rel. int.  hkl
27.91  3.197  100.0  1 3 0
32.00  2.797  96.9  1 1 2
14.88  5.954  85.6  0 1 1
39.88  2.261  83.7  0 4 2
39.45  2.284  59.9  2 2 1
30.02  2.977  57.3  0 2 2
43.87  2.064  43.3  2 1 2
40.85  2.209  41.1  2 3 0
16.75  5.294  23.0  1 0 0
61.41  1.510  22.4  1 3 4


Diffraction record for La4Ho4Th. The X-ray powder pattern is theoretical, not measured: it uses the GGA-PBE geometry in Alexandria and Cu Kα.
Neutral-atom scattering factors, no anomalous dispersion.

Structural model:
```
data_La4Ho4Th
_chemical_formula_sum 'La8 Ho8 Th2'
_cell_length_a 10.8861
_cell_length_b 10.8861
_cell_length_c 5.1281
_cell_angle_alpha 90.00
_cell_angle_beta 90.00
_cell_angle_gamma 90.00
_space_group_name_H-M_alt 'I 4/m m m'
_space_group_IT_number 139
_space_group_name_Hall '-I 4 2'
loop_
_atom_site_label
_atom_site_type_symbol
_atom_site_fract_x
_atom_site_fract_y
_atom_site_fract_z
La1 La 0.0000 0.3281 0.0000
Ho1 Ho 0.1615 0.1615 0.5000
Th1 Th 0.0000 0.0000 0.0000
```

Largest 10 diffraction maxima, in order of falling intensity, 5 to 70 degrees two-theta:
2θ (°)  d/Å  Rel. int.  hkl
30.17  2.962  100.0  3 0 1
34.98  2.565  50.6  0 0 2
59.78  1.547  42.8  3 0 3
50.30  1.814  36.1  3 3 2
62.73  1.481  12.3  6 0 2
11.50  7.698  4.6  1 1 0
38.35  2.347  2.1  4 1 1
25.22  3.531  1.3  2 1 1
36.94  2.433  1.2  1 1 2
60.11  1.539  0.9  4 4 2